# LiCu3F10
Calculated X-ray diffraction stick pattern, CuKα. Input: a DFT-relaxed cell (PBE, the Materials Project).
Neutral-atom scattering factors, no anomalous dispersion.

```
data_LiCu3F10
_chemical_formula_sum 'Li2 Cu6 F20'
_symmetry_space_group_name_H-M 'P m m a'
_symmetry_Int_Tables_number 51
_symmetry_space_group_name_Hall '-P 2a 2a'
_cell_length_a 7.346
_cell_length_b 6.970
_cell_length_c 7.120
_cell_angle_alpha 90.00
_cell_angle_beta 90.00
_cell_angle_gamma 90.00
loop_
_atom_site_label
_atom_site_type_symbol
_atom_site_fract_x
_atom_site_fract_y
_atom_site_fract_z
Li1 Li 0.250 0.000 0.178
Cu1 Cu 0.000 0.232 0.500
Cu2 Cu 0.000 0.500 0.000
F1 F 0.000 0.500 0.500
F2 F 0.041 0.000 0.334
F3 F 0.046 0.310 0.172
F4 F 0.250 0.226 0.558
F5 F 0.250 0.500 0.927
```

Largest 10 diffraction maxima, low angle first, 2θ = 10–80°:
hkl  two_theta  I_rel
0 0 1  12.43  52.3
0 1 0  12.70  32.5
0 1 1  17.81  87.3
2 0 0  24.23  100.0
0 0 2  25.01  53.2
0 2 1  28.52  68.9
0 2 3  46.28  40.5
0 3 2  46.68  21.6
2 2 3  52.91  37.7
4 2 1  58.24  22.1